Starting from a cell relaxed with GGA-PBE, the XRD peak list of Ga3Si was simulated for λ = 1.5418 Å (Cu Kα).
No peak broadening, texture or thermal motion is included.

Principal peaks in the range 5 to 70 degrees two-theta, in order of rising 2θ:
Position (°2θ), I_rel
23.28, 8
26.94, 4
38.47, 100
45.45, 4
55.54, 17
61.03, 2
62.79, 1
69.59, 33

Structural model:
```
Ga3Si
1.0
0.000 3.309 3.309
3.309 0.000 3.309
3.309 3.309 0.000
Ga Si
3 1
Direct
0.000 0.000 0.000 Ga
0.250 0.250 0.250 Ga
0.750 0.750 0.750 Ga
0.500 0.500 0.500 Si
```



Starting from a cell relaxed with GGA-PBE, the XRD peak list of Ga3Si was simulated for λ = 1.5418 Å (Cu Kα).
No peak broadening, texture or thermal motion is included.

Principal peaks in the range 5 to 70 degrees two-theta, in order of rising 2θ:
Position (°2θ), I_rel
17.04, 3
25.63, 11
29.74, 5
34.48, 25
38.54, 24
39.66, 100
52.66, 14
61.77, 17

Structural model:
```
Ga3Si
1.0
6.008 0.000 0.000
-3.004 5.203 0.000
0.000 0.000 4.672
Ga Si
6 2
Direct
0.168 0.337 0.250 Ga
0.168 0.832 0.250 Ga
0.337 0.168 0.750 Ga
0.663 0.832 0.250 Ga
0.832 0.168 0.750 Ga
0.832 0.663 0.750 Ga
0.333 0.667 0.750 Si
0.667 0.333 0.250 Si
```



Starting from a cell relaxed with GGA-PBE, the XRD peak list of Sr2GaSi was simulated for λ = 1.5418 Å (Cu Kα).
No peak broadening, texture or thermal motion is included.

Principal peaks in the range 5 to 70 degrees two-theta, in order of rising 2θ:
Position (°2θ), I_rel
25.78, 24
29.23, 100
29.52, 59
36.42, 55
37.02, 23
38.11, 29
42.44, 21
52.55, 23

Structural model:
```
Sr2GaSi
1.0
4.260 0.000 0.000
0.000 2.361 5.911
0.000 -2.361 5.911
Sr Ga Si
2 1 1
Direct
0.000 0.000 0.000 Sr
0.500 0.280 0.280 Sr
0.500 0.579 0.579 Ga
0.000 0.705 0.705 Si
```



Starting from a cell relaxed with GGA-PBE, the XRD peak list of SmGa2 was simulated for λ = 1.5418 Å (Cu Kα).
No peak broadening, texture or thermal motion is included.

Principal peaks in the range 5 to 70 degrees two-theta, in order of rising 2θ:
Position (°2θ), I_rel
24.14, 12
32.20, 100
42.47, 41
42.73, 13
49.44, 2
49.67, 4
54.28, 23
61.82, 27

Structural model:
```
SmGa2
1.0
4.257 0.000 0.000
-2.129 3.687 0.000
0.000 0.000 4.232
Sm Ga
1 2
Direct
0.000 0.000 0.000 Sm
0.333 0.667 0.500 Ga
0.667 0.333 0.500 Ga
```



Starting from a cell relaxed with GGA-PBE, the XRD peak list of Sm9Ga4 was simulated for λ = 1.5418 Å (Cu Kα).
No peak broadening, texture or thermal motion is included.

Principal peaks in the range 5 to 70 degrees two-theta, in order of rising 2θ:
Position (°2θ), I_rel
28.39, 25
29.94, 15
32.18, 100
35.00, 28
38.44, 17
52.96, 14
59.14, 15
60.99, 20

Structural model:
```
Sm9Ga4
1.0
-5.970 5.970 2.564
5.970 -5.970 2.564
5.970 5.970 -2.564
Sm Ga
9 4
Direct
0.000 0.000 0.000 Sm
0.095 0.624 0.719 Sm
0.315 0.390 0.705 Sm
0.376 0.095 0.471 Sm
0.390 0.685 0.074 Sm
0.610 0.315 0.926 Sm
0.624 0.905 0.529 Sm
0.685 0.610 0.295 Sm
0.905 0.376 0.281 Sm
0.113 0.232 0.345 Ga
0.232 0.887 0.119 Ga
0.768 0.113 0.881 Ga
0.887 0.768 0.655 Ga
```



Starting from a cell relaxed with GGA-PBE, the XRD peak list of SmGa3 was simulated for λ = 1.5418 Å (Cu Kα).
No peak broadening, texture or thermal motion is included.

Principal peaks in the range 5 to 70 degrees two-theta, in order of rising 2θ:
Position (°2θ), I_rel
25.19, 22
27.96, 9
32.40, 25
37.99, 100
39.18, 22
43.31, 8
51.72, 13
57.78, 16

Structural model:
```
SmGa3
1.0
6.382 0.000 0.000
-3.191 5.527 0.000
0.000 0.000 4.598
Sm Ga
2 6
Direct
0.333 0.667 0.250 Sm
0.667 0.333 0.750 Sm
0.145 0.291 0.750 Ga
0.145 0.855 0.750 Ga
0.291 0.145 0.250 Ga
0.709 0.855 0.750 Ga
0.855 0.145 0.250 Ga
0.855 0.709 0.250 Ga
```



Starting from a cell relaxed with GGA-PBE, the XRD peak list of Sm3Ga2Sn3 was simulated for λ = 1.5418 Å (Cu Kα).
No peak broadening, texture or thermal motion is included.

Principal peaks in the range 5 to 70 degrees two-theta, in order of rising 2θ:
Position (°2θ), I_rel
29.90, 25
33.67, 100
34.13, 34
34.70, 36
35.39, 47
39.64, 24
50.42, 24
69.49, 25

Structural model:
```
Sm3Ga2Sn3
1.0
4.986 -4.014 0.000
4.986 4.014 0.000
0.000 0.000 10.146
Sm Ga Sn
6 4 6
Direct
0.137 0.863 0.750 Sm
0.298 0.298 0.000 Sm
0.298 0.298 0.500 Sm
0.702 0.702 0.000 Sm
0.702 0.702 0.500 Sm
0.863 0.137 0.250 Sm
0.185 0.815 0.043 Ga
0.185 0.815 0.457 Ga
0.815 0.185 0.543 Ga
0.815 0.185 0.957 Ga
0.004 0.587 0.250 Sn
0.413 0.996 0.250 Sn
0.476 0.524 0.250 Sn
0.524 0.476 0.750 Sn
0.587 0.004 0.750 Sn
0.996 0.413 0.750 Sn
```



Starting from a cell relaxed with GGA-PBE, the XRD peak list of SmZn2Ga2 was simulated for λ = 1.5418 Å (Cu Kα).
No peak broadening, texture or thermal motion is included.

Principal peaks in the range 5 to 70 degrees two-theta, in order of rising 2θ:
Position (°2θ), I_rel
30.21, 17
32.82, 62
34.58, 100
43.26, 52
47.37, 33
55.35, 28
62.83, 17
66.08, 24

Structural model:
```
SmZn2Ga2
1.0
-2.092 2.092 5.399
2.092 -2.092 5.399
2.092 2.092 -5.399
Sm Zn Ga
1 2 2
Direct
0.000 0.000 0.000 Sm
0.250 0.750 0.500 Zn
0.750 0.250 0.500 Zn
0.386 0.386 0.000 Ga
0.614 0.614 0.000 Ga
```